Record 1
Simulated PXRD pattern
Compound: Pt2Br7O2
Radiation: CuKα
Structure: a DFT-relaxed cell (PBE, Alexandria)
Peak positions follow from Bragg's law for the DFT cell and can differ from measured ones.

Structure:
Lattice parameters (Å, degrees): 6.8680 6.8680 10.6063 109.49 109.49 67.03
Atoms (fractional coordinates):
1 Pt 0.2371 0.2371 0.4821
2 Pt 0.7629 0.7629 0.5179
3 Br 0.0000 0.0000 0.5000
4 Br 0.1311 0.5871 0.6593
5 Br 0.3730 0.3730 0.3418
6 Br 0.4129 0.8689 0.3407
7 Br 0.5871 0.1311 0.6593
8 Br 0.6270 0.6270 0.6582
9 Br 0.8689 0.4129 0.3407
10 O 0.4187 0.5813 0.0000
11 O 0.5813 0.4187 0.0000

Top 6 peaks for 2θ from 10° to 80°, sorted by position:
2theta, intensity
15.65, 100
29.89, 48
31.61, 46
32.55, 60
34.31, 47
38.13, 43


Record 2
Simulated PXRD pattern
Compound: Pu4Br5O
Radiation: CuKα
Structure: a DFT-relaxed cell (PBE, Alexandria)
Peak positions follow from Bragg's law for the DFT cell and can differ from measured ones.

Structure:
Lattice parameters (Å, degrees): 11.7262 11.7262 7.6965 108.39 108.39 17.86
Atoms (fractional coordinates):
1 Pu 0.0628 0.0628 0.4617
2 Pu 0.1043 0.1043 0.0049
3 Pu 0.8957 0.8957 0.9951
4 Pu 0.9372 0.9372 0.5383
5 Br 0.1761 0.1761 0.7740
6 Br 0.3472 0.3472 0.6745
7 Br 0.5000 0.5000 0.0000
8 Br 0.6528 0.6528 0.3255
9 Br 0.8239 0.8239 0.2260
10 O 0.5000 0.5000 0.5000

Top 6 peaks for 2θ from 10° to 80°, sorted by position:
2theta, intensity
16.15, 64
24.40, 63
24.78, 94
28.14, 65
28.51, 56
36.22, 100


Record 3
Simulated PXRD pattern
Compound: Pu2BrO2
Radiation: CuKα
Structure: a DFT-relaxed cell (PBE, Alexandria)
Peak positions follow from Bragg's law for the DFT cell and can differ from measured ones.

Structure:
Lattice parameters (Å, degrees): 7.2286 6.5224 6.3017 68.60 57.15 54.26
Atoms (fractional coordinates):
1 Pu 0.0575 0.6925 0.0575
2 Pu 0.3075 0.9425 0.3075
3 Pu 0.6925 0.0575 0.6925
4 Pu 0.9425 0.3075 0.9425
5 Br 0.3750 0.3750 0.3750
6 Br 0.6250 0.6250 0.6250
7 O 0.0138 0.0138 0.7362
8 O 0.2638 0.2638 0.9862
9 O 0.7362 0.7362 0.0138
10 O 0.9862 0.9862 0.2638

Top 6 peaks for 2θ from 10° to 80°, sorted by position:
2theta, intensity
24.67, 26
28.65, 100
30.55, 74
34.17, 29
39.21, 46
45.36, 26


Record 4
Simulated PXRD pattern
Compound: PuSBrO6
Radiation: CuKα
Structure: a DFT-relaxed cell (PBE, Alexandria)
Peak positions follow from Bragg's law for the DFT cell and can differ from measured ones.

Structure:
Lattice parameters (Å, degrees): 5.1995 5.1995 7.2114 90.00 90.00 120.00
Atoms (fractional coordinates):
1 Pu 0.0000 0.0000 0.0000
2 S 0.6667 0.3333 0.0000
3 Br 0.3333 0.6667 0.5000
4 O 0.3954 0.0737 0.8666
5 O 0.3954 0.3217 0.1334
6 O 0.6783 0.0737 0.1334
7 O 0.6783 0.6046 0.8666
8 O 0.9263 0.3217 0.8666
9 O 0.9263 0.6046 0.1334

Top 6 peaks for 2θ from 10° to 80°, sorted by position:
2theta, intensity
12.27, 63
19.72, 25
23.29, 100
24.69, 22
34.50, 23
42.89, 34


Record 5
Simulated PXRD pattern
Compound: TmPuBrO4
Radiation: CuKα
Structure: a DFT-relaxed cell (PBE, Alexandria)
Peak positions follow from Bragg's law for the DFT cell and can differ from measured ones.

Structure:
Lattice parameters (Å, degrees): 8.3339 8.3339 6.5023 103.76 103.76 39.95
Atoms (fractional coordinates):
1 Tm 0.2091 0.2091 0.3479
2 Tm 0.7909 0.7909 0.6521
3 Pu 0.1031 0.1031 0.7024
4 Pu 0.8969 0.8969 0.2977
5 Br 0.4642 0.4642 0.2172
6 Br 0.5358 0.5358 0.7828
7 O 0.0326 0.5742 0.3678
8 O 0.0616 0.0616 0.3968
9 O 0.1479 0.1479 0.9999
10 O 0.4258 0.9674 0.6322
11 O 0.5742 0.0326 0.3678
12 O 0.8521 0.8521 0.0001
13 O 0.9384 0.9384 0.6032
14 O 0.9674 0.4258 0.6322

Top 6 peaks for 2θ from 10° to 80°, sorted by position:
2theta, intensity
16.63, 85
20.50, 65
23.54, 100
29.80, 63
31.42, 70
33.45, 88


Record 6
Simulated PXRD pattern
Compound: Rb5BrO
Radiation: CuKα
Structure: a DFT-relaxed cell (PBE, Alexandria)
Peak positions follow from Bragg's law for the DFT cell and can differ from measured ones.

Structure:
Lattice parameters (Å, degrees): 8.8000 8.8000 11.2972 108.38 108.38 95.09
Atoms (fractional coordinates):
1 Rb 0.1156 0.6361 0.3490
2 Rb 0.2275 0.7725 0.7500
3 Rb 0.2443 0.3166 0.5164
4 Rb 0.3166 0.2443 0.0164
5 Rb 0.3639 0.8844 0.1510
6 Rb 0.6361 0.1156 0.8490
7 Rb 0.6834 0.7557 0.9836
8 Rb 0.7557 0.6834 0.4836
9 Rb 0.7725 0.2275 0.2500
10 Rb 0.8844 0.3639 0.6510
11 Br 0.0363 0.9637 0.2500
12 Br 0.9637 0.0363 0.7500
13 O 0.0000 0.5000 0.5000
14 O 0.5000 0.0000 0.0000

Top 6 peaks for 2θ from 10° to 80°, sorted by position:
2theta, intensity
16.32, 69
22.57, 100
27.48, 64
29.89, 72
30.75, 79
31.75, 74


Record 7
Simulated PXRD pattern
Compound: Rb8Br2O3
Radiation: CuKα
Structure: a DFT-relaxed cell (PBE, Alexandria)
Peak positions follow from Bragg's law for the DFT cell and can differ from measured ones.

Structure:
Lattice parameters (Å, degrees): 8.7298 8.7298 15.8482 90.00 90.00 120.00
Atoms (fractional coordinates):
1 Rb 0.0000 0.0000 0.0000
2 Rb 0.0000 0.0000 0.5000
3 Rb 0.0535 0.5268 0.0051
4 Rb 0.1531 0.3062 0.3257
5 Rb 0.1531 0.8469 0.3257
6 Rb 0.3062 0.1531 0.8257
7 Rb 0.3333 0.6667 0.8179
8 Rb 0.4732 0.5268 0.0051
9 Rb 0.4732 0.9465 0.0051
10 Rb 0.5268 0.0535 0.5051
11 Rb 0.5268 0.4732 0.5051
12 Rb 0.6667 0.3333 0.3179
13 Rb 0.6938 0.8469 0.3257
14 Rb 0.8469 0.1531 0.8257
15 Rb 0.8469 0.6938 0.8257
16 Rb 0.9465 0.4732 0.5051
17 Br 0.3333 0.6667 0.1855
18 Br 0.3333 0.6667 0.6024
19 Br 0.6667 0.3333 0.1024
20 Br 0.6667 0.3333 0.6855
21 O 0.1639 0.3277 0.9098
22 O 0.1639 0.8361 0.9098
23 O 0.3277 0.1639 0.4098
24 O 0.6723 0.8361 0.9098
25 O 0.8361 0.1639 0.4098
26 O 0.8361 0.6723 0.4098

Top 6 peaks for 2θ from 10° to 80°, sorted by position:
2theta, intensity
24.21, 32
26.12, 100
29.05, 41
32.74, 52
37.01, 39
41.37, 48


Record 8
Simulated PXRD pattern
Compound: Rb3Br2O
Radiation: CuKα
Structure: a DFT-relaxed cell (PBE, Alexandria)
Peak positions follow from Bragg's law for the DFT cell and can differ from measured ones.

Structure:
Lattice parameters (Å, degrees): 6.7900 13.9518 4.7267 90.00 90.00 90.00
Atoms (fractional coordinates):
1 Rb 0.0000 0.0000 0.0000
2 Rb 0.0081 0.3601 0.0000
3 Rb 0.4919 0.8601 0.5000
4 Rb 0.5000 0.5000 0.5000
5 Rb 0.5081 0.1399 0.5000
6 Rb 0.9919 0.6399 0.0000
7 Br 0.0084 0.1749 0.5000
8 Br 0.4916 0.6749 0.0000
9 Br 0.5084 0.3251 0.0000
10 Br 0.9916 0.8251 0.5000
11 O 0.0000 0.5000 0.5000
12 O 0.5000 0.0000 0.0000

Top 6 peaks for 2θ from 10° to 80°, sorted by position:
2theta, intensity
26.26, 80
26.89, 100
37.93, 77
38.08, 22
46.84, 23
61.36, 18